No. 1
Diffraction record for MgCd2IO6. The XRD peak list is theoretical, not measured: it uses a crystal structure in Alexandria, relaxed with PBE and Cu Kα (weighted mean of Kα1 and Kα2).
Peak positions follow from Bragg's law for the DFT cell and can differ from measured ones.

Cell and atoms:
a b c (Å): 5.514 5.634 9.701
angles (deg): 90.00 124.31 90.00
Space group P2_1/c (No. 14)
Inequivalent atoms, fractional coordinates:
Mg1 0.000 0.000 0.000 (multiplicity 2)
Cd1 0.232 0.045 0.746 (multiplicity 4)
I1 0.500 0.000 0.500 (multiplicity 2)
O1 0.152 0.198 0.445 (multiplicity 4)
O2 0.243 0.710 0.435 (multiplicity 4)
O3 0.372 0.051 0.260 (multiplicity 4)

Main lines, by angle (2θ from 10° to 90°):
- hkl 0 1 1, d = 4.609 Å, I 24.9
- hkl 1 1 1, d = 2.816 Å, I 100.0
- hkl 1 1 -3, d = 2.804 Å, I 69.0
- hkl 2 0 -2, d = 2.757 Å, I 30.5
- hkl 2 2 -2, d = 1.970 Å, I 31.1
- hkl 2 0 2, d = 1.625 Å, I 27.0

***

No. 2
Diffraction record for MnCd2I6. The XRD peak list is theoretical, not measured: it uses a crystal structure in Alexandria, relaxed with PBE and Cu Kα (weighted mean of Kα1 and Kα2).
Peak positions follow from Bragg's law for the DFT cell and can differ from measured ones.

Cell and atoms:
a b c (Å): 16.383 16.057 7.525
angles (deg): 90.00 117.31 90.00
Space group C2/c (No. 15)
Inequivalent atoms, fractional coordinates:
Mn1 0.000 0.250 0.250 (multiplicity 4)
Cd1 0.250 0.077 0.420 (multiplicity 8)
I1 0.093 0.346 0.578 (multiplicity 8)
I2 0.094 0.155 0.109 (multiplicity 8)
I3 0.250 0.090 0.794 (multiplicity 8)

Main lines, by angle (2θ from 10° to 90°):
- hkl 2 2 0, d = 5.392 Å, I 48.8
- hkl 0 4 0, d = 4.014 Å, I 28.3
- hkl 4 2 -1, d = 3.636 Å, I 100.0
- hkl 1 1 -2, d = 3.553 Å, I 26.4
- hkl 4 6 0, d = 2.156 Å, I 23.8
- hkl 0 2 3, d = 2.147 Å, I 40.5